Sr7CaFe7CoO24: theoretical powder XRD pattern (CuKα), based on the PBE+U geometry in Alexandria.
Lines closer than 0.1° are merged.

Atomic structure:
```
40
Lattice="5.5152 3.1842 4.4987 -5.5152 3.1842 4.4987 0.0000 -6.3684 4.4987" Properties=species:S:1:pos:R:3 pbc="T T T"
Sr 0.0000 0.0000 0.0000
Sr 0.0000 3.1744 11.2533
Sr 2.7491 -1.5872 11.2533
Sr -2.7641 -1.5958 4.5141
Sr -2.7491 -1.5872 11.2533
Sr 2.7641 -1.5958 4.5141
Sr 0.0000 3.1917 4.5141
Ca 0.0000 0.0000 6.7834
Fe -2.7509 -1.5882 7.8818
Fe 0.0000 0.0000 3.3952
Fe 0.0000 -3.1754 5.6383
Fe -2.7500 1.5877 5.6383
Fe 2.7509 -1.5882 7.8817
Fe 2.7500 1.5877 5.6383
Fe 0.0000 3.1764 7.8817
Co 0.0000 0.0000 10.1223
O 4.1282 -0.7911 9.0036
O 1.3790 3.9707 9.0036
O -1.3797 -0.7966 2.2689
O -4.1282 -0.7911 9.0036
O -2.7492 -3.1796 9.0036
O 1.3797 -0.7966 2.2689
O 0.0000 1.5931 2.2689
O 0.0000 -1.5732 4.5306
O -1.3625 0.7866 4.5306
O -1.3681 -2.3620 6.7656
O -2.7296 -0.0038 6.7656
O 1.3625 0.7866 4.5306
O 1.3681 -2.3620 6.7656
O -1.3615 2.3658 6.7656
O -1.3305 -0.7682 9.0128
O 1.3305 -0.7682 9.0128
O 0.0000 1.5363 9.0128
O 2.7296 -0.0038 6.7656
O 1.3615 2.3658 6.7656
O 0.0000 -1.5616 11.2171
O -1.3524 0.7808 11.2171
O -1.3790 3.9706 9.0036
O 2.7492 -3.1796 9.0036
O 1.3524 0.7808 11.2170
```

Most intense lines, 2θ = 5–70°, in order of rising 2θ:
d_spacing	I_rel
7.797	1
5.513	1
3.487	1
2.757	100
2.251	12
1.949	40
1.592	37
1.378	22